Record 1
For Li3FeSiO5, a cell relaxed with PBE+U gives the simulated powder XRD pattern in this record (CuKα).
No peak broadening, texture or thermal motion is included.

Crystal structure
Unit cell a=5.026 b=5.800 c=6.515 alpha=104.54 beta=97.87 gamma=106.62
Space group P-1 (No. 2)
Asymmetric unit:
Li (0.000, 0.000, 0.000)
Li (0.000, 0.500, 0.000)
Li (0.202, 0.400, 0.398)
Li (0.391, 0.799, 0.814)
Fe (0.196, 0.890, 0.390)
Si (0.404, 0.308, 0.808)
O (0.125, 0.989, 0.712)
O (0.130, 0.427, 0.705)
O (0.336, 0.374, 0.082)
O (0.336, 0.837, 0.120)
O (0.490, 0.253, 0.538)

Most intense lines, 2θ = 15–90°, sorted by position:
two_theta  intensity
16.8  12
18.5  100
36.3  9
36.7  9
36.9  9
44.1  62
44.6  31
63.4  8
63.8  8
64.3  9

Record 2
For Mg2TaCrO6, a cell relaxed with PBE+U gives the simulated powder XRD pattern in this record (CuKα).
No peak broadening, texture or thermal motion is included.

Crystal structure
Unit cell a=5.187 b=7.594 c=5.376 alpha=90.00 beta=90.38 gamma=90.00
Space group P2_1/m (No. 11)
Asymmetric unit:
Mg (0.001, 0.250, 0.462)
Mg (0.490, 0.750, 0.064)
Ta (0.000, 0.000, 0.000)
Cr (0.500, 0.000, 0.500)
O (0.130, 0.250, 0.062)
O (0.175, 0.567, 0.313)
O (0.317, 0.567, 0.820)
O (0.374, 0.250, 0.571)

Most intense lines, 2θ = 15–90°, sorted by position:
two_theta  intensity
16.5  66
17.1  62
23.4  73
23.8  72
23.9  70
33.3  51
33.6  100
33.7  99
34.6  42
59.6  47

Record 3
For Li3Co2O5, a cell relaxed with PBE+U gives the simulated powder XRD pattern in this record (CuKα).
No peak broadening, texture or thermal motion is included.

Crystal structure
Unit cell a=9.884 b=2.999 c=12.261 alpha=90.00 beta=100.59 gamma=90.00
Space group C2/m (No. 12)
Asymmetric unit:
Li (0.000, 0.000, 0.000)
Li (0.000, 0.500, 0.500)
Li (0.098, 0.000, 0.701)
Li (0.196, 0.500, 0.899)
Co (0.096, 0.500, 0.192)
Co (0.201, 0.000, 0.398)
O (0.036, 0.000, 0.846)
O (0.060, 0.500, 0.341)
O (0.151, 0.500, 0.065)
O (0.155, 0.000, 0.545)
O (0.242, 0.000, 0.254)

Most intense lines, 2θ = 15–90°, sorted by position:
two_theta  intensity
18.4  100
35.4  32
37.3  13
42.7  66
45.6  25
56.4  9
61.9  9
62.0  9
63.8  15
64.7  14

Record 4
For CoSbP2O8, a cell relaxed with PBE+U gives the simulated powder XRD pattern in this record (CuKα).
No peak broadening, texture or thermal motion is included.

Crystal structure
Unit cell a=4.960 b=6.233 c=20.274 alpha=89.96 beta=87.00 gamma=89.98
Space group P1 (No. 1)
Asymmetric unit:
Co (0.000, 0.000, 0.000)
Co (0.010, 0.000, 0.502)
Co (0.871, 0.503, 0.725)
Co (0.881, 0.500, 0.227)
Sb (0.383, 0.001, 0.755)
Sb (0.395, 0.000, 0.255)
Sb (0.489, 0.500, 0.972)
Sb (0.498, 0.500, 0.473)
P (0.035, 0.500, 0.066)
P (0.043, 0.500, 0.567)
P (0.322, 0.499, 0.816)
P (0.327, 0.500, 0.316)
P (0.557, 0.000, 0.911)
P (0.563, 0.000, 0.412)
P (0.836, 0.000, 0.661)
P (0.848, 0.000, 0.161)
O (0.076, 0.500, 0.139)
O (0.088, 0.501, 0.640)
O (0.142, 0.000, 0.673)
O (0.154, 0.000, 0.174)
O (0.181, 0.304, 0.781)
O (0.186, 0.694, 0.780)
O (0.187, 0.308, 0.027)
O (0.187, 0.692, 0.027)
O (0.190, 0.305, 0.281)
O (0.190, 0.695, 0.281)
O (0.195, 0.692, 0.528)
O (0.196, 0.307, 0.529)
O (0.233, 0.502, 0.890)
O (0.237, 0.500, 0.391)
O (0.253, 0.000, 0.921)
O (0.259, 0.000, 0.422)
O (0.628, 0.497, 0.806)
O (0.631, 0.500, 0.306)
O (0.645, 0.999, 0.836)
O (0.650, 0.000, 0.337)
O (0.682, 0.192, 0.698)
O (0.683, 0.807, 0.699)
O (0.695, 0.192, 0.200)
O (0.695, 0.195, 0.946)
O (0.695, 0.805, 0.946)
O (0.695, 0.808, 0.200)
O (0.703, 0.195, 0.446)
O (0.703, 0.804, 0.446)
O (0.729, 0.500, 0.054)
O (0.737, 0.500, 0.555)
O (0.796, 0.998, 0.588)
O (0.808, 0.000, 0.088)

Most intense lines, 2θ = 15–90°, sorted by position:
two_theta  intensity
16.7  32
17.5  100
20.4  39
24.2  75
24.5  30
24.9  74
28.6  91
34.5  31
34.5  31
36.0  44

Record 5
For Co2OF3, a cell relaxed with PBE+U gives the simulated powder XRD pattern in this record (CuKα).
No peak broadening, texture or thermal motion is included.

Crystal structure
Unit cell a=4.678 b=5.620 c=13.410 alpha=78.77 beta=88.72 gamma=88.35
Space group P1 (No. 1)
Asymmetric unit:
Co (0.000, 0.000, 0.000)
Co (0.001, 0.396, 0.795)
Co (0.009, 0.599, 0.198)
Co (0.057, 0.206, 0.391)
Co (0.477, 0.916, 0.801)
Co (0.486, 0.296, 0.588)
Co (0.496, 0.684, 0.400)
Co (0.504, 0.499, 0.997)
Co (0.521, 0.097, 0.198)
Co (0.962, 0.800, 0.613)
O (0.200, 0.075, 0.859)
O (0.220, 0.291, 0.250)
O (0.307, 0.371, 0.452)
O (0.791, 0.733, 0.736)
O (0.809, 0.911, 0.142)
F (0.192, 0.868, 0.466)
F (0.196, 0.491, 0.654)
F (0.198, 0.676, 0.061)
F (0.295, 0.981, 0.658)
F (0.305, 0.582, 0.857)
F (0.308, 0.789, 0.260)
F (0.318, 0.175, 0.059)
F (0.688, 0.224, 0.731)
F (0.697, 0.819, 0.937)
F (0.704, 0.616, 0.536)
F (0.712, 0.415, 0.136)
F (0.716, 0.018, 0.341)
F (0.806, 0.317, 0.937)
F (0.812, 0.114, 0.534)
F (0.815, 0.518, 0.332)

Most intense lines, 2θ = 15–90°, sorted by position:
two_theta  intensity
26.4  100
27.4  94
34.1  28
34.4  56
34.5  29
53.3  29
54.5  19
58.7  19
66.3  17
67.1  21